# ZnNi2S4
Simulated PXRD pattern, Cu Kα (λ = 1.5418 Å). Input: the PBE geometry in the Materials Project.
Lines closer than 0.1° are merged.

Crystal structure
```
14
Lattice="0.0000 4.8604 4.8604 4.8604 0.0000 4.8604 4.8604 4.8604 0.0000" Properties=species:S:1:pos:R:3 pbc="T T T"
Zn 1.2151 1.2151 1.2151
Zn 8.5057 8.5057 8.5057
Ni 4.8604 2.4302 2.4302
Ni 2.4302 4.8604 2.4302
Ni 2.4302 2.4302 4.8604
Ni 4.8604 4.8604 4.8604
S 2.5644 2.5644 2.5644
S 4.7262 4.7262 2.5644
S 4.7262 2.5644 4.7262
S 7.1564 4.9946 4.9946
S 2.5644 4.7262 4.7262
S 4.9946 7.1564 4.9946
S 4.9946 4.9946 7.1564
S 7.1564 7.1564 7.1564
```

Main lines, by angle (10 to 80 degrees two-theta):
Position (°2θ)  Rel. int.
15.79  16
25.92  36
30.50  100
36.99  40
45.72  12
48.67  54
53.31  79
62.67  12
75.06  17
78.76  11


# Si
Simulated PXRD pattern, Cu Kα (λ = 1.5418 Å). Input: the PBE geometry in the Materials Project.
Lines closer than 0.1° are merged.

Crystal structure
```
1
Lattice="0.0000 1.9347 1.9347 1.9347 0.0000 1.9347 1.9347 1.9347 0.0000" Properties=species:S:1:pos:R:3 pbc="T T T"
Si 0.0000 0.0000 0.0000
```

Main lines, by angle (10 to 80 degrees two-theta):
Position (°2θ)  Rel. int.
40.37  100
46.96  47
68.60  30


# K8Zr6BBr20
Simulated PXRD pattern, Cu Kα (λ = 1.5418 Å). Input: the PBE geometry in the Materials Project.
Lines closer than 0.1° are merged.

Crystal structure
```
35
Lattice="0.0000 8.2612 8.2612 8.2612 0.0000 8.2612 8.2612 8.2612 0.0000" Properties=species:S:1:pos:R:3 pbc="T T T"
K 2.3082 2.3082 2.3082
K 5.9530 5.9530 2.3082
K 5.9530 2.3082 5.9530
K 14.2142 10.5694 10.5694
K 2.3082 5.9530 5.9530
K 10.5694 14.2142 10.5694
K 10.5694 10.5694 14.2142
K 14.2142 14.2142 14.2142
Zr 8.2612 8.2612 5.9320
Zr 8.2612 5.9320 8.2612
Zr 10.5904 8.2612 8.2612
Zr 5.9320 8.2612 8.2612
Zr 8.2612 10.5904 8.2612
Zr 8.2612 8.2612 10.5904
B 8.2612 8.2612 8.2612
Br 8.2612 5.5423 5.5423
Br 10.9801 8.2612 5.5423
Br 10.9801 5.5423 8.2612
Br 8.2612 8.2612 3.0147
Br 8.2612 3.0147 8.2612
Br 13.5077 8.2612 8.2612
Br 4.1306 4.1306 4.1306
Br 5.5423 8.2612 5.5423
Br 8.2612 10.9801 5.5423
Br 5.5423 5.5423 8.2612
Br 10.9801 10.9801 8.2612
Br 8.2612 5.5423 10.9801
Br 10.9801 8.2612 10.9801
Br 12.3918 12.3918 12.3918
Br 3.0147 8.2612 8.2612
Br 8.2612 13.5077 8.2612
Br 8.2612 8.2612 13.5077
Br 5.5423 10.9801 8.2612
Br 5.5423 8.2612 10.9801
Br 8.2612 10.9801 10.9801
```

Main lines, by angle (10 to 80 degrees two-theta):
Position (°2θ)  Rel. int.
10.71  38
18.60  16
24.09  21
28.06  65
32.05  34
32.51  100
34.33  27
42.00  17
46.65  66
55.32  27